K3BiP2S8: simulated powder X-ray diffraction pattern (Cu Ka), based on a DFT-relaxed cell (GGA-PBE, the Materials Project).
Peak positions follow from Bragg's law for the DFT cell and can differ from measured ones.

Main lines, in order of rising 2θ (2θ = 15–90°):
| Position (°2θ) | I (rel.) | h k l |
| --- | --- | --- |
| 16.35 | 100 | 1 1 1 |
| 19.35 | 37 | 1 0 4 |
| 21.63 | 55 | 1 1 4 |
| 24.21 | 38 | 1 2 2 |
| 25.62 | 48 | 2 0 0 |
| 28.67 | 35 | 1 0 7 |
| 29.31 | 68 | 0 0 8 |
| 31.15 | 37 | 2 1 4 |
| 31.92 | 51 | 1 3 1 |
| 33.06 | 45 | 2 2 2 |

```
data_K3BiP2S8
_chemical_formula_sum 'K12 Bi4 P8 S32'
_cell_length_a 6.9528
_cell_length_b 9.2640
_cell_length_c 24.3779
_cell_angle_alpha 90.00
_cell_angle_beta 90.00
_cell_angle_gamma 90.00
_symmetry_space_group_name_H-M 'P 21 21 21'
_symmetry_Int_Tables_number 19
loop_
_symmetry_equiv_pos_as_xyz
'x,y,z'
'-x+1/2,-y,z+1/2'
'x+1/2,-y+1/2,-z'
'-x,y+1/2,-z+1/2'
loop_
_atom_site_label
_atom_site_type_symbol
_atom_site_fract_x
_atom_site_fract_y
_atom_site_fract_z
K1 K 0.0030 0.0883 0.2880
K2 K 0.0072 0.5196 0.8128
K3 K 0.0076 0.2555 0.0777
Bi1 Bi 0.0618 0.3503 0.5526
P1 P 0.0054 0.1102 0.8454
P2 P 0.0355 0.8543 0.0921
S1 S 0.0186 0.6385 0.5686
S2 S 0.0203 0.9092 0.1715
S3 S 0.0300 0.8870 0.8355
S4 S 0.0650 0.6301 0.0799
S5 S 0.2141 0.4183 0.4469
S6 S 0.2323 0.6881 0.6916
S7 S 0.2326 0.0582 0.5524
S8 S 0.2453 0.2074 0.8173
```